Li3Fe3OF7: calculated powder X-ray diffraction pattern (CuKα), based on a crystal structure in Alexandria, relaxed with PBE+U.
Neutral-atom scattering factors, no anomalous dispersion.

Peak list (8 most intense, 10° ≤ 2θ ≤ 90°, in order of rising 2θ)
d (Å)  I/Imax
5.042  100
4.881  66
4.470  91
3.103  96
2.536  83
2.522  74
2.124  74
1.552  73

Structural model:
a b c (Å): 6.1199 6.1199 6.2081
angles (deg): 119.33 119.33 56.84
Sites, in units of the cell vectors:
Li (0.0000, 0.0000, 0.0000)
Li (0.0120, 0.0120, 0.5476)
Li (0.6363, 0.6363, 0.8995)
Fe (0.0434, 0.4764, 0.5296)
Fe (0.3816, 0.3816, 0.1041)
Fe (0.4764, 0.0434, 0.5296)
O (0.2318, 0.2318, 0.7420)
F (0.2378, 0.7447, 0.7581)
F (0.2387, 0.2387, 0.2293)
F (0.2554, 0.7880, 0.2796)
F (0.7447, 0.2378, 0.7581)
F (0.7649, 0.7649, 0.3077)
F (0.7692, 0.7692, 0.7752)
F (0.7880, 0.2554, 0.2796)